Record 1
Computed powder X-ray diffraction pattern of Dy2I2O for a wavelength of 1.5418 Å, from DFT lattice parameters and positions (GGA-PBE).

Cell and atoms:
```
Dy2I2O
1.0
11.427 -1.989 0.000
11.427 1.989 0.000
-0.653 0.000 6.980
Dy I O
4 4 2
direct
0.188 0.188 0.378 Dy
0.311 0.311 0.081 Dy
0.689 0.689 0.919 Dy
0.812 0.812 0.622 Dy
0.100 0.100 0.696 I
0.409 0.409 0.798 I
0.591 0.591 0.202 I
0.900 0.900 0.304 I
0.213 0.213 0.076 O
0.787 0.787 0.924 O
```

Principal peaks in the range 15° ≤ 2θ ≤ 90°, by angle:
2theta, d/Å, I (rel.)
15.57, 5.692, 21
26.26, 3.394, 17
28.74, 3.106, 48
28.88, 3.092, 100
36.58, 2.457, 22
37.08, 2.425, 44
39.61, 2.276, 16
44.99, 2.015, 30


Record 2
Computed powder X-ray diffraction pattern of AgPt4 for a wavelength of 1.5418 Å, from DFT lattice parameters and positions (GGA-PBE).

Cell and atoms:
```
AgPt4
1.0
-1.403 2.012 7.073
1.403 -2.012 7.073
1.403 2.012 -7.073
Ag Pt
1 4
direct
0.000 0.000 0.000 Ag
0.201 0.201 0.000 Pt
0.398 0.398 0.000 Pt
0.602 0.602 0.000 Pt
0.799 0.799 0.000 Pt
```

Principal peaks in the range 15° ≤ 2θ ≤ 90°, by angle:
2theta, d/Å, I (rel.)
38.91, 2.314, 100
39.14, 2.302, 99
45.05, 2.012, 33
45.54, 1.992, 64
66.00, 1.415, 53
78.99, 1.212, 13
79.54, 1.205, 25
79.98, 1.200, 25


Record 3
Computed powder X-ray diffraction pattern of Cs2SrSnF6 for a wavelength of 1.5418 Å, from DFT lattice parameters and positions (GGA-PBE).

Cell and atoms:
```
Cs2SrSnF6
1.0
4.817 0.000 0.000
0.000 4.817 0.000
0.000 0.000 9.615
Cs Sr Sn F
2 1 1 6
direct
0.000 0.000 0.248 Cs
0.000 0.000 0.752 Cs
0.500 0.500 0.500 Sr
0.500 0.500 0.000 Sn
0.000 0.500 0.000 F
0.000 0.500 0.500 F
0.500 0.000 0.000 F
0.500 0.000 0.500 F
0.500 0.500 0.248 F
0.500 0.500 0.752 F
```

Principal peaks in the range 15° ≤ 2θ ≤ 90°, by angle:
2theta, d/Å, I (rel.)
26.18, 3.404, 100
37.36, 2.407, 37
46.19, 1.965, 43
53.87, 1.702, 24
60.81, 1.523, 13
67.39, 1.390, 8
73.63, 1.287, 23
85.54, 1.135, 7


Record 4
Computed powder X-ray diffraction pattern of Sm3Y2Os2 for a wavelength of 1.5418 Å, from DFT lattice parameters and positions (GGA-PBE).

Cell and atoms:
```
Sm3Y2Os2
1.0
6.056 -2.006 0.000
6.056 2.006 0.000
-3.212 0.000 7.766
Sm Y Os
3 2 2
direct
0.000 0.000 0.000 Sm
0.123 0.123 0.431 Sm
0.877 0.877 0.569 Sm
0.332 0.332 0.182 Y
0.668 0.668 0.818 Y
0.321 0.321 0.784 Os
0.679 0.679 0.216 Os
```

Principal peaks in the range 15° ≤ 2θ ≤ 90°, by angle:
2theta, d/Å, I (rel.)
15.58, 5.687, 62
31.52, 2.838, 100
32.05, 2.793, 35
32.74, 2.735, 94
34.44, 2.604, 58
35.22, 2.548, 76
39.58, 2.277, 60
45.19, 2.006, 43


Record 5
Computed powder X-ray diffraction pattern of PrDyIn2Te4 for a wavelength of 1.5418 Å, from DFT lattice parameters and positions (GGA-PBE).

Cell and atoms:
```
PrDyIn2Te4
1.0
7.769 0.000 0.000
0.000 4.479 0.000
-2.581 0.000 8.107
Pr Dy In Te
1 1 2 4
direct
0.000 0.000 0.000 Pr
0.500 0.500 0.000 Dy
0.000 0.500 0.500 In
0.500 0.000 0.500 In
0.251 0.500 0.227 Te
0.268 0.000 0.779 Te
0.732 0.000 0.221 Te
0.749 0.500 0.773 Te
```

Principal peaks in the range 15° ≤ 2θ ≤ 90°, by angle:
2theta, d/Å, I (rel.)
27.26, 3.272, 100
37.58, 2.393, 40
40.24, 2.241, 36
49.29, 1.849, 19
56.23, 1.636, 12
61.71, 1.503, 16
65.44, 1.426, 16
71.36, 1.322, 8


Record 6
Computed powder X-ray diffraction pattern of Y3P2Pt9 for a wavelength of 1.5418 Å, from DFT lattice parameters and positions (GGA-PBE).

Cell and atoms:
```
Y3P2Pt9
1.0
6.300 0.000 0.000
-3.150 5.456 0.000
0.000 0.000 14.742
Y P Pt
6 4 18
direct
0.000 0.000 0.250 Y
0.000 0.000 0.750 Y
0.333 0.667 0.075 Y
0.333 0.667 0.425 Y
0.667 0.333 0.575 Y
0.667 0.333 0.925 Y
0.333 0.667 0.651 P
0.333 0.667 0.849 P
0.667 0.333 0.151 P
0.667 0.333 0.349 P
0.034 0.517 0.250 Pt
0.149 0.297 0.579 Pt
0.149 0.297 0.921 Pt
0.149 0.851 0.579 Pt
0.149 0.851 0.921 Pt
0.297 0.149 0.079 Pt
0.297 0.149 0.421 Pt
0.483 0.517 0.250 Pt
0.483 0.966 0.250 Pt
0.517 0.034 0.750 Pt
0.517 0.483 0.750 Pt
0.703 0.851 0.579 Pt
0.703 0.851 0.921 Pt
0.851 0.149 0.079 Pt
0.851 0.149 0.421 Pt
0.851 0.703 0.079 Pt
0.851 0.703 0.421 Pt
0.966 0.483 0.750 Pt
```

Principal peaks in the range 15° ≤ 2θ ≤ 90°, by angle:
2theta, d/Å, I (rel.)
33.41, 2.682, 28
35.08, 2.558, 99
36.57, 2.457, 57
37.72, 2.385, 100
41.17, 2.193, 56
45.29, 2.002, 28
58.62, 1.575, 39
71.10, 1.326, 38